Calculated X-ray diffraction stick pattern
Compound: Co19Te34
Radiation: Cu Ka
Structure: DFT lattice parameters and positions (GGA-PBE)
No peak broadening, texture or thermal motion is included.

Main lines, low angle first (2θ = 15–90°):
- 16.31 deg, intensity 144, hkl 1 -1 1
- 31.66 deg, intensity 1000, hkl 2 1 4
- 31.71 deg, intensity 359, hkl 1 3 -2
- 31.83 deg, intensity 148, hkl 3 1 0
- 32.96 deg, intensity 145, hkl 2 -2 2
- 43.04 deg, intensity 226, hkl 0 4 -3
- 43.12 deg, intensity 221, hkl -3 2 2
- 47.49 deg, intensity 168, hkl 0 2 7
- 47.75 deg, intensity 330, hkl 3 4 2
- 57.98 deg, intensity 168, hkl 2 -3 7
- 58.21 deg, intensity 137, hkl 5 -1 2
- 78.32 deg, intensity 153, hkl -5 3 5

Lattice parameters (Å, degrees): 8.521 9.382 14.826 89.99 86.47 80.02
Sites, in units of the cell vectors:
Co1 0.000 0.000 0.000
Co2 0.059 0.323 0.764
Co3 0.059 0.823 0.764
Co4 0.119 0.649 0.530
Co5 0.179 0.467 0.295
Co6 0.238 0.298 0.058
Co7 0.297 0.114 0.824
Co8 0.354 0.943 0.588
Co9 0.411 0.766 0.355
Co10 0.471 0.587 0.116
Co11 0.529 0.413 0.884
Co12 0.589 0.234 0.645
Co13 0.646 0.057 0.412
Co14 0.703 0.886 0.176
Co15 0.762 0.702 0.942
Co16 0.821 0.533 0.705
Co17 0.881 0.351 0.470
Co18 0.941 0.177 0.236
Co19 0.941 0.677 0.236
Te1 0.008 0.410 0.168
Te2 0.051 0.413 0.596
Te3 0.067 0.234 0.934
Te4 0.112 0.231 0.363
Te5 0.125 0.057 0.697
Te6 0.171 0.058 0.126
Te7 0.183 0.883 0.462
Te8 0.229 0.879 0.891
Te9 0.243 0.705 0.227
Te10 0.288 0.705 0.656
Te11 0.299 0.531 0.991
Te12 0.350 0.529 0.422
Te13 0.361 0.352 0.756
Te14 0.409 0.350 0.184
Te15 0.418 0.177 0.521
Te16 0.467 0.176 0.951
Te17 0.473 0.002 0.286
Te18 0.527 0.998 0.714
Te19 0.533 0.824 0.049
Te20 0.582 0.823 0.479
Te21 0.591 0.650 0.816
Te22 0.639 0.648 0.244
Te23 0.650 0.471 0.578
Te24 0.701 0.469 0.009
Te25 0.712 0.295 0.344
Te26 0.757 0.295 0.773
Te27 0.771 0.121 0.109
Te28 0.817 0.117 0.538
Te29 0.829 0.942 0.874
Te30 0.875 0.943 0.303
Te31 0.888 0.769 0.637
Te32 0.933 0.766 0.066
Te33 0.949 0.587 0.404
Te34 0.992 0.590 0.832